(1)
For Ca5Cu2Sb5, a structure optimized by DFT (PBE) gives the theoretical X-ray powder pattern in this record (Cu Kα, 1.54184 Å).
Intensities are scaled so that the largest is 100.

The 10 most intense peaks (2θ from 10° to 80°), most intense first:
hkl 5 1 -1, 37.37 deg, rel. 100
hkl 3 1 -3, 30.18 deg, rel. 89
hkl 2 0 -3, 22.62 deg, rel. 65
hkl 1 1 0, 21.35 deg, rel. 54
hkl 0 2 0, 40.74 deg, rel. 53
hkl 1 1 -3, 32.39 deg, rel. 48
hkl 2 0 2, 31.30 deg, rel. 46
hkl 6 0 -4, 35.06 deg, rel. 34
hkl 9 1 -7, 61.90 deg, rel. 25
hkl 4 0 -6, 46.20 deg, rel. 24

Cell and atoms:
Unit cell a=16.0937 b=4.4296 c=12.0371 alpha=90.00 beta=130.85 gamma=90.00
Space group C2/m (No. 12)
One atom of each set of equivalent atoms:
1 Ca 0.0000 0.0000 0.0000 [2 per cell]
2 Ca 0.1045 0.0000 0.4127 [4 per cell]
3 Ca 0.1938 0.0000 0.8206 [4 per cell]
4 Cu 0.1396 0.5000 0.2492 [4 per cell]
5 Sb 0.0000 0.5000 0.5000 [2 per cell]
6 Sb 0.0635 0.5000 0.8596 [4 per cell]
7 Sb 0.2485 0.0000 0.3183 [4 per cell]

=====

(2)
For CaCuSe3, a structure optimized by DFT (PBE) gives the theoretical X-ray powder pattern in this record (Cu Kα, 1.54184 Å).
Intensities are scaled so that the largest is 100.

The 10 most intense peaks (2θ from 10° to 80°), most intense first:
hkl 2 0 0, 36.90 deg, rel. 100
hkl 1 1 1, 31.82 deg, rel. 73
hkl 2 2 0, 53.18 deg, rel. 67
hkl 1 0 0, 18.21 deg, rel. 54
hkl 3 1 1, 63.32 deg, rel. 29
hkl 2 1 0, 41.45 deg, rel. 27
hkl 2 2 2, 66.49 deg, rel. 22
hkl 3 0 0, 56.69 deg, rel. 13
hkl 4 0 0, 78.54 deg, rel. 10
hkl 3 2 0, 69.58 deg, rel. 6

Cell and atoms:
Unit cell a=4.8715 b=4.8715 c=4.8715 alpha=90.00 beta=90.00 gamma=90.00
Space group Pm-3m (No. 221)
One atom of each set of equivalent atoms:
1 Ca 0.0000 0.0000 0.0000 [1 per cell]
2 Cu 0.5000 0.5000 0.5000 [1 per cell]
3 Se 0.0000 0.5000 0.5000 [3 per cell]